Computed XRD peak list
Compound: Li2Ga12Pd
Radiation: CuKα
Structure: a crystal structure in Alexandria, relaxed with GGA-PBE
Lines closer than 0.1° are merged.

Structure:
```
Li2Ga12Pd
1.0
5.8459 0.0000 0.0000
0.0000 5.8459 0.0000
0.0000 0.0000 16.6890
Li Ga Pd
4 24 2
Direct
0.2500 0.7500 0.2317
0.2500 0.7500 0.7683
0.7500 0.2500 0.2317
0.7500 0.2500 0.7683
0.9999 0.0001 0.4059
0.0001 0.9999 0.5941
0.0001 0.5001 0.4059
0.9999 0.4999 0.5941
0.0670 0.5671 0.0692
0.0670 0.9330 0.9308
0.2500 0.2500 0.1598
0.2500 0.2500 0.3062
0.2500 0.2500 0.6938
0.2500 0.2500 0.8402
0.4330 0.5671 0.9308
0.4330 0.9330 0.0692
0.4999 0.9999 0.4059
0.5001 0.0001 0.5941
0.5001 0.4999 0.4059
0.4999 0.5001 0.5941
0.5671 0.0670 0.9308
0.5671 0.4330 0.0692
0.7500 0.7500 0.1598
0.7500 0.7500 0.3062
0.7500 0.7500 0.6938
0.7500 0.7500 0.8402
0.9330 0.0670 0.0692
0.9330 0.4330 0.9308
0.2500 0.7500 0.5000
0.7500 0.2500 0.5000
```

Peak list (8 most intense, 5 to 70 degrees two-theta, in order of rising 2θ)
2θ 10.6, I 76; 2θ 24.0, I 88; 2θ 32.5, I 43; 2θ 34.7, I 26; 2θ 37.6, I 24; 2θ 41.0, I 33; 2θ 43.8, I 91; 2θ 45.0, I 100



Computed XRD peak list
Compound: KAlAg2
Radiation: CuKα
Structure: a crystal structure in Alexandria, relaxed with GGA-PBE
Lines closer than 0.1° are merged.

Structure:
```
KAlAg2
1.0
4.1512 -2.2691 0.0000
4.1512 2.2691 0.0000
-2.0568 0.0000 6.2317
K Al Ag
1 1 2
Direct
0.0000 0.0000 0.0000
0.7890 0.7890 0.4538
0.1501 0.1501 0.5384
0.4553 0.4553 0.4497
```

Peak list (8 most intense, 5 to 70 degrees two-theta, in order of rising 2θ)
2θ 14.2, I 100; 2θ 22.6, I 26; 2θ 28.7, I 57; 2θ 38.3, I 35; 2θ 39.6, I 29; 2θ 42.4, I 31; 2θ 46.1, I 19; 2θ 50.9, I 18



Computed XRD peak list
Compound: Sr3Tl2O6
Radiation: CuKα
Structure: a crystal structure in Alexandria, relaxed with GGA-PBE
Lines closer than 0.1° are merged.

Structure:
```
Sr3Tl2O6
1.0
12.0199 0.0000 0.0000
0.0000 17.2172 0.0000
0.0000 0.0000 3.5285
Sr Tl O
12 8 24
Direct
0.0955 0.1463 0.0000
0.1331 0.5413 0.0000
0.1757 0.7746 0.0000
0.3243 0.2746 0.0000
0.3669 0.0413 0.0000
0.4045 0.6463 0.0000
0.5955 0.3537 0.0000
0.6331 0.9587 0.0000
0.6757 0.7254 0.0000
0.8243 0.2254 0.0000
0.8669 0.4587 0.0000
0.9045 0.8537 0.0000
0.0904 0.3528 0.5000
0.1323 0.9578 0.5000
0.3677 0.4578 0.5000
0.4096 0.8528 0.5000
0.5904 0.1472 0.5000
0.6323 0.5422 0.5000
0.8677 0.0422 0.5000
0.9096 0.6472 0.5000
0.0000 0.0000 0.0000
0.0000 0.5000 0.5000
0.0278 0.6700 0.0000
0.0621 0.8463 0.5000
0.1852 0.2388 0.5000
0.2129 0.0660 0.5000
0.2126 0.4038 0.0000
0.2871 0.5660 0.5000
0.2874 0.9038 0.0000
0.3148 0.7388 0.5000
0.4379 0.3463 0.5000
0.4722 0.1700 0.0000
0.5000 0.0000 0.5000
0.5000 0.5000 0.0000
0.5278 0.8300 0.0000
0.5621 0.6537 0.5000
0.6852 0.2612 0.5000
0.7126 0.0962 0.0000
0.7129 0.4340 0.5000
0.7874 0.5962 0.0000
0.7871 0.9340 0.5000
0.8148 0.7612 0.5000
0.9379 0.1537 0.5000
0.9722 0.3300 0.0000
```

Peak list (8 most intense, 5 to 70 degrees two-theta, in order of rising 2θ)
2θ 12.6, I 37; 2θ 28.3, I 34; 2θ 29.8, I 44; 2θ 29.9, I 100; 2θ 30.7, I 66; 2θ 35.5, I 69; 2θ 50.2, I 39; 2θ 61.0, I 45



Computed XRD peak list
Compound: H6PdRh2
Radiation: CuKα
Structure: a crystal structure in Alexandria, relaxed with GGA-PBE
Lines closer than 0.1° are merged.

Structure:
```
H6PdRh2
1.0
-1.5399 1.5399 7.2126
1.5399 -1.5399 7.2126
1.5399 1.5399 -7.2126
H Pd Rh
6 1 2
Direct
0.2161 0.2161 0.5929
0.2500 0.7500 0.5000
0.3768 0.7839 0.0000
0.6232 0.6232 0.4071
0.7500 0.2500 0.5000
0.7839 0.3768 0.0000
0.0000 0.0000 0.0000
0.3242 0.3242 0.0000
0.6758 0.6758 0.0000
```

Peak list (8 most intense, 5 to 70 degrees two-theta, in order of rising 2θ)
2θ 24.7, I 1; 2θ 34.6, I 100; 2θ 37.4, I 18; 2θ 41.5, I 30; 2θ 53.5, I 2; 2θ 57.1, I 22; 2θ 60.1, I 10; 2θ 65.7, I 13



Copy entry 4 word for word.
Computed XRD peak list
Compound: H6PdRh2
Radiation: CuKα
Structure: a crystal structure in Alexandria, relaxed with GGA-PBE
Lines closer than 0.1° are merged.

Structure:
```
H6PdRh2
1.0
-1.5399 1.5399 7.2126
1.5399 -1.5399 7.2126
1.5399 1.5399 -7.2126
H Pd Rh
6 1 2
Direct
0.2161 0.2161 0.5929
0.2500 0.7500 0.5000
0.3768 0.7839 0.0000
0.6232 0.6232 0.4071
0.7500 0.2500 0.5000
0.7839 0.3768 0.0000
0.0000 0.0000 0.0000
0.3242 0.3242 0.0000
0.6758 0.6758 0.0000
```

Peak list (8 most intense, 5 to 70 degrees two-theta, in order of rising 2θ)
2θ 24.7, I 1; 2θ 34.6, I 100; 2θ 37.4, I 18; 2θ 41.5, I 30; 2θ 53.5, I 2; 2θ 57.1, I 22; 2θ 60.1, I 10; 2θ 65.7, I 13